1.
# YPaCuPd
Simulated PXRD pattern, a wavelength of 1.5418 Å. Input: a GGA-PBE-relaxed structure.
Lines closer than 0.1° are merged.

Top 12 peaks for 2θ = 15–90°, by angle:
hkl 1 1 1, 2θ 22.0, rel. 18.3; hkl 2 0 0, 2θ 25.5, rel. 9.6; hkl 2 2 0, 2θ 36.3, rel. 100.0; hkl 3 1 1, 2θ 42.9, rel. 10.5; hkl 4 0 0, 2θ 52.3, rel. 17.5; hkl 3 3 1, 2θ 57.4, rel. 4.7; hkl 4 2 0, 2θ 59.1, rel. 4.2; hkl 4 2 2, 2θ 65.4, rel. 35.5; hkl 5 1 1, 2θ 69.9, rel. 3.6; hkl 4 4 0, 2θ 77.1, rel. 11.0; hkl 5 3 1, 2θ 81.4, rel. 3.7; hkl 6 2 0, 2θ 88.4, rel. 16.0

Structural model:
Cell lengths 6.995, 6.995, 6.995 Å; angles 90.00, 90.00, 90.00 degrees
Space group F-43m (No. 216)
Asymmetric unit:
1 Y 0.000 0.000 0.000 [4 per cell]
2 Pa 0.000 0.000 0.500 [4 per cell]
3 Cu 0.250 0.250 0.750 [4 per cell]
4 Pd 0.250 0.250 0.250 [4 per cell]

2.
# Pm2PaCuSe5
Simulated PXRD pattern, a wavelength of 1.5418 Å. Input: a GGA-PBE-relaxed structure.
Lines closer than 0.1° are merged.

Top 12 peaks for 2θ = 15–90°, by angle:
hkl 0 4 1, 2θ 21.6, rel. 11.5; hkl 0 2 3, 2θ 23.6, rel. 21.0; hkl 1 1 3, 2θ 31.4, rel. 100.0; hkl 0 6 1, 2θ 31.6, rel. 23.4; hkl 1 5 2, 2θ 37.2, rel. 49.0; hkl 1 5 3, 2θ 40.6, rel. 11.8; hkl 0 0 6, 2θ 43.2, rel. 14.2; hkl 1 7 1, 2θ 43.5, rel. 12.5; hkl 1 5 4, 2θ 45.0, rel. 10.1; hkl 2 0 0, 2θ 45.7, rel. 21.9; hkl 1 1 6, 2θ 49.4, rel. 11.5; hkl 1 7 5, 2θ 57.0, rel. 11.1

Structural model:
Cell lengths 3.972, 17.431, 12.576 Å; angles 90.00, 90.00, 90.00 degrees
Space group Cmc2_1 (No. 36)
Asymmetric unit:
1 Pm 0.000 0.108 0.000 [4 per cell]
2 Pm 0.000 0.119 0.349 [4 per cell]
3 Pa 0.000 0.180 0.678 [4 per cell]
4 Cu 0.000 0.445 0.074 [4 per cell]
5 Se 0.000 0.019 0.672 [4 per cell]
6 Se 0.000 0.305 0.345 [4 per cell]
7 Se 0.000 0.311 0.011 [4 per cell]
8 Se 0.000 0.345 0.673 [4 per cell]
9 Se 0.000 0.497 0.401 [4 per cell]

3.
# Pa2CuPt5
Simulated PXRD pattern, a wavelength of 1.5418 Å. Input: a GGA-PBE-relaxed structure.
Lines closer than 0.1° are merged.

Top 12 peaks for 2θ = 15–90°, by angle:
hkl 1 1 2, 2θ 31.5, rel. 6.9; hkl 2 1 1, 2θ 34.0, rel. 9.1; hkl 2 0 2, 2θ 37.5, rel. 100.0; hkl 2 2 0, 2θ 40.4, rel. 41.6; hkl 3 0 1, 2θ 44.8, rel. 8.8; hkl 0 0 4, 2θ 49.5, rel. 10.0; hkl 1 1 4, 2θ 53.8, rel. 7.0; hkl 4 0 0, 2θ 58.5, rel. 12.2; hkl 3 2 3, 2θ 65.4, rel. 8.0; hkl 2 2 4, 2θ 65.7, rel. 14.6; hkl 4 2 2, 2θ 71.6, rel. 22.8; hkl 4 0 4, 2θ 80.0, rel. 7.1

Structural model:
Cell lengths 6.315, 6.315, 7.371 Å; angles 90.00, 90.00, 90.00 degrees
Space group I4mm (No. 107)
Asymmetric unit:
1 Pa 0.000 0.500 0.000 [4 per cell]
2 Cu 0.000 0.000 0.082 [2 per cell]
3 Pt 0.000 0.000 0.455 [2 per cell]
4 Pt 0.220 0.220 0.753 [8 per cell]